# 1
Starting from the PBE geometry in Alexandria, the XRD peak list of KHo4Ga3O12 was calculated for Cu Kα.

Crystal structure
```
data_KHo4Ga3O12
_cell_length_a 8.1912
_cell_length_b 8.1912
_cell_length_c 8.1912
_cell_angle_alpha 90.00
_cell_angle_beta 90.00
_cell_angle_gamma 90.00
_space_group_name_H-M_alt 'I m -3'
_space_group_IT_number 204
_space_group_name_Hall '-I 2 2 3'
loop_
_atom_site_label
_atom_site_fract_x
_atom_site_fract_y
_atom_site_fract_z
K1 0.0000 0.0000 0.0000
Ho1 0.2500 0.2500 0.2500
Ga1 0.0000 0.0000 0.5000
O1 0.0000 0.1601 0.3299
```

Most intense lines, 2θ = 10–80°, in order of falling intensity:
| index | 2θ (°) | d [Å] | I_rel |
| --- | --- | --- | --- |
| 2 2 0 | 30.88 | 2.896 | 100 |
| 4 2 2 | 54.91 | 1.672 | 48 |
| 2 0 0 | 21.70 | 4.096 | 24 |
| 4 0 0 | 44.23 | 2.048 | 21 |
| 6 2 0 | 73.06 | 1.295 | 19 |
| 4 0 2 | 49.78 | 1.832 | 14 |
| 4 4 0 | 64.34 | 1.448 | 12 |
| 2 2 2 | 38.06 | 2.365 | 6 |
| 4 4 2 | 68.76 | 1.365 | 4 |
| 6 2 2 | 77.26 | 1.235 | 4 |
| 3 1 0 | 34.63 | 2.590 | 2 |
| 1 1 0 | 15.30 | 5.792 | 2 |

=====

# 2
Starting from the PBE geometry in Alexandria, the XRD peak list of CsNp4Ni3Se12 was calculated for Cu Kα.

Crystal structure
```
data_CsNp4Ni3Se12
_cell_length_a 10.1665
_cell_length_b 10.1665
_cell_length_c 10.1665
_cell_angle_alpha 90.00
_cell_angle_beta 90.00
_cell_angle_gamma 90.00
_space_group_name_H-M_alt 'I m -3'
_space_group_IT_number 204
_space_group_name_Hall '-I 2 2 3'
loop_
_atom_site_label
_atom_site_fract_x
_atom_site_fract_y
_atom_site_fract_z
Cs1 0.0000 0.0000 0.0000
Np1 0.2500 0.2500 0.2500
Ni1 0.0000 0.0000 0.5000
Se1 0.0000 0.1613 0.3311
```

Most intense lines, 2θ = 10–80°, in order of falling intensity:
| index | 2θ (°) | d [Å] | I_rel |
| --- | --- | --- | --- |
| 2 2 0 | 24.77 | 3.594 | 100 |
| 4 2 2 | 43.61 | 2.075 | 97 |
| 3 1 0 | 27.75 | 3.215 | 42 |
| 4 0 2 | 39.65 | 2.273 | 41 |
| 2 0 0 | 17.45 | 5.083 | 36 |
| 6 2 0 | 57.32 | 1.607 | 31 |
| 4 0 0 | 35.31 | 2.542 | 30 |
| 6 4 2 | 69.15 | 1.359 | 24 |
| 3 2 1 | 32.97 | 2.717 | 21 |
| 4 4 0 | 50.80 | 1.797 | 14 |
| 8 2 0 | 77.41 | 1.233 | 12 |
| 6 2 2 | 60.40 | 1.533 | 12 |

=====

# 3
Starting from the PBE geometry in Alexandria, the XRD peak list of SnBiPd3 was calculated for Cu Kα.

Crystal structure
```
data_SnBiPd3
_cell_length_a 7.0019
_cell_length_b 7.8932
_cell_length_c 7.0869
_cell_angle_alpha 90.00
_cell_angle_beta 90.00
_cell_angle_gamma 90.00
_space_group_name_H-M_alt 'P n n m'
_space_group_IT_number 58
loop_
_space_group_symop_operation_xyz
'x,y,z'
'-x,-y,-z'
'-x,-y,z'
'x,y,-z'
'x+1/2,-y+1/2,-z+1/2'
'-x+1/2,y+1/2,z+1/2'
'-x+1/2,y+1/2,-z+1/2'
'x+1/2,-y+1/2,z+1/2'
loop_
_atom_site_label
_atom_site_fract_x
_atom_site_fract_y
_atom_site_fract_z
Sn1 0.2260 0.1556 0.0000
Bi1 0.2048 0.1023 0.5000
Pd1 0.0000 0.5000 0.2781
Pd2 0.1136 0.8520 0.2078
```

Most intense lines, 2θ = 10–80°, in order of falling intensity:
| index | 2θ (°) | d [Å] | I_rel |
| --- | --- | --- | --- |
| 1 2 2 | 36.43 | 2.467 | 100 |
| 2 0 2 | 36.06 | 2.490 | 40 |
| 2 1 2 | 37.88 | 2.375 | 24 |
| 3 1 0 | 40.29 | 2.238 | 20 |
| 3 2 0 | 45.13 | 2.009 | 20 |
| 1 2 0 | 25.92 | 3.438 | 14 |
| 1 3 1 | 38.70 | 2.326 | 11 |
| 0 0 4 | 51.59 | 1.772 | 11 |
| 5 1 2 | 73.72 | 1.285 | 11 |
| 0 1 3 | 39.83 | 2.263 | 10 |
| 4 4 2 | 77.75 | 1.228 | 10 |
| 1 3 2 | 44.81 | 2.022 | 9 |

=====

# 4
Starting from the PBE geometry in Alexandria, the XRD peak list of Tm8MgTl2 was calculated for Cu Kα.

Crystal structure
```
data_Tm8MgTl2
_cell_length_a 8.7633
_cell_length_b 14.8572
_cell_length_c 5.4917
_cell_angle_alpha 90.00
_cell_angle_beta 114.57
_cell_angle_gamma 90.00
_space_group_name_H-M_alt 'C 1 2/m 1'
_space_group_IT_number 12
loop_
_space_group_symop_operation_xyz
'x,y,z'
'-x,-y,-z'
'-x,y,-z'
'x,-y,z'
'x+1/2,y+1/2,z'
'-x+1/2,-y+1/2,-z'
'-x+1/2,y+1/2,-z'
'x+1/2,-y+1/2,z'
loop_
_atom_site_label
_atom_site_fract_x
_atom_site_fract_y
_atom_site_fract_z
Tm1 0.0000 0.2152 0.0000
Tm2 0.1016 0.5000 0.8038
Tm3 0.2137 0.1143 0.6178
Mg1 0.0000 0.0000 0.0000
Tl1 0.0000 0.3044 0.5000
```

Most intense lines, 2θ = 10–80°, in order of falling intensity:
| index | 2θ (°) | d [Å] | I_rel |
| --- | --- | --- | --- |
| 1 5 -1 | 34.53 | 2.598 | 100 |
| 3 1 -1 | 31.46 | 2.844 | 84 |
| 1 3 1 | 30.65 | 2.917 | 76 |
| 2 4 0 | 32.97 | 2.717 | 65 |
| 0 4 1 | 29.98 | 2.980 | 47 |
| 2 2 0 | 25.37 | 3.511 | 46 |
| 1 1 -2 | 33.39 | 2.684 | 41 |
| 2 2 -2 | 35.68 | 2.517 | 37 |
| 5 5 -1 | 61.74 | 1.503 | 34 |
| 0 2 2 | 38.01 | 2.367 | 31 |
| 2 0 1 | 34.12 | 2.627 | 26 |
| 0 0 1 | 17.76 | 4.994 | 26 |

=====

Please write out number 4 again, unchanged.
Starting from the PBE geometry in Alexandria, the XRD peak list of Tm8MgTl2 was calculated for Cu Kα.

Crystal structure
```
data_Tm8MgTl2
_cell_length_a 8.7633
_cell_length_b 14.8572
_cell_length_c 5.4917
_cell_angle_alpha 90.00
_cell_angle_beta 114.57
_cell_angle_gamma 90.00
_space_group_name_H-M_alt 'C 1 2/m 1'
_space_group_IT_number 12
loop_
_space_group_symop_operation_xyz
'x,y,z'
'-x,-y,-z'
'-x,y,-z'
'x,-y,z'
'x+1/2,y+1/2,z'
'-x+1/2,-y+1/2,-z'
'-x+1/2,y+1/2,-z'
'x+1/2,-y+1/2,z'
loop_
_atom_site_label
_atom_site_fract_x
_atom_site_fract_y
_atom_site_fract_z
Tm1 0.0000 0.2152 0.0000
Tm2 0.1016 0.5000 0.8038
Tm3 0.2137 0.1143 0.6178
Mg1 0.0000 0.0000 0.0000
Tl1 0.0000 0.3044 0.5000
```

Most intense lines, 2θ = 10–80°, in order of falling intensity:
| index | 2θ (°) | d [Å] | I_rel |
| --- | --- | --- | --- |
| 1 5 -1 | 34.53 | 2.598 | 100 |
| 3 1 -1 | 31.46 | 2.844 | 84 |
| 1 3 1 | 30.65 | 2.917 | 76 |
| 2 4 0 | 32.97 | 2.717 | 65 |
| 0 4 1 | 29.98 | 2.980 | 47 |
| 2 2 0 | 25.37 | 3.511 | 46 |
| 1 1 -2 | 33.39 | 2.684 | 41 |
| 2 2 -2 | 35.68 | 2.517 | 37 |
| 5 5 -1 | 61.74 | 1.503 | 34 |
| 0 2 2 | 38.01 | 2.367 | 31 |
| 2 0 1 | 34.12 | 2.627 | 26 |
| 0 0 1 | 17.76 | 4.994 | 26 |